Diffraction record for NaCu3Cl8. The X-ray powder pattern is simulated, not measured: it uses a DFT-relaxed cell (GGA-PBE, Alexandria) and Cu Kα.
Neutral-atom scattering factors, no anomalous dispersion.

Most intense lines, 5 to 70 degrees two-theta, sorted by position:
two_theta, Rel. int., hkl
19.23, 100, 0 1 1
27.24, 35, 1 1 0
27.41, 19, 0 1 2
29.51, 35, 2 -1 1
35.53, 18, 1 1 2
39.03, 17, 0 2 2
43.74, 22, 1 2 1
48.14, 30, 3 0 0
48.24, 17, 1 2 2
53.99, 26, 2 -1 4

Structure:
```
NaCu3Cl8
1.0
6.548 0.000 0.000
-3.274 5.671 0.000
0.000 0.000 7.946
Na Cu Cl
1 3 8
Direct
0.000 0.000 0.000
0.000 0.000 0.500
0.333 0.667 0.741
0.667 0.333 0.259
0.035 0.731 0.680
0.269 0.305 0.680
0.305 0.035 0.320
0.333 0.667 0.015
0.667 0.333 0.985
0.695 0.965 0.680
0.731 0.695 0.320
0.965 0.269 0.320
```

---

Diffraction record for B2PCl4. The X-ray powder pattern is simulated, not measured: it uses a DFT-relaxed cell (GGA-PBE, Alexandria) and Cu Kα.
Neutral-atom scattering factors, no anomalous dispersion.

Most intense lines, 5 to 70 degrees two-theta, sorted by position:
two_theta, Rel. int., hkl
7.35, 100, 0 0 2
14.73, 46, 0 0 4
19.48, 83, 1 0 1
22.16, 99, 0 0 6
26.69, 28, 1 0 5
28.18, 48, 1 1 2
31.04, 23, 1 1 4
38.80, 42, 2 0 0
45.13, 41, 2 0 6
61.04, 29, 2 0 12

Structure:
```
B2PCl4
1.0
4.642 0.000 0.000
0.000 4.642 0.000
0.000 0.000 24.055
B P Cl
4 2 8
Direct
0.000 0.000 0.232
0.000 0.000 0.768
0.500 0.500 0.268
0.500 0.500 0.732
0.000 0.000 0.000
0.500 0.500 0.500
0.000 0.000 0.161
0.000 0.000 0.839
0.000 0.500 0.000
0.000 0.500 0.500
0.500 0.000 0.000
0.500 0.000 0.500
0.500 0.500 0.339
0.500 0.500 0.661
```

---

Diffraction record for Sr2GeAu3. The X-ray powder pattern is simulated, not measured: it uses a DFT-relaxed cell (GGA-PBE, Alexandria) and Cu Kα.
Neutral-atom scattering factors, no anomalous dispersion.

Most intense lines, 5 to 70 degrees two-theta, sorted by position:
two_theta, Rel. int., hkl
21.75, 15, 0 1 1
22.36, 34, 1 0 0
31.39, 100, 1 1 1
36.85, 9, 1 1 2
38.14, 75, 0 2 0
44.66, 32, 1 2 0
45.64, 16, 2 0 0
50.20, 25, 1 2 2
60.95, 38, 2 2 0
64.75, 22, 1 3 1

Structure:
```
Sr2GeAu3
1.0
3.976 0.000 0.000
0.000 4.721 0.000
0.000 0.000 8.169
Sr Ge Au
2 1 3
Direct
0.000 0.000 0.000
0.000 0.500 0.481
0.500 0.500 0.813
0.500 0.000 0.330
0.500 0.000 0.679
0.500 0.500 0.137
```

---

Diffraction record for Ac3PuRh. The X-ray powder pattern is simulated, not measured: it uses a DFT-relaxed cell (GGA-PBE, Alexandria) and Cu Kα.
Neutral-atom scattering factors, no anomalous dispersion.

Most intense lines, 5 to 70 degrees two-theta, sorted by position:
two_theta, Rel. int., hkl
15.17, 4, 1 0 0
21.52, 6, 1 1 0
26.43, 100, 1 1 1
30.62, 84, 2 0 0
34.34, 2, 2 1 0
37.73, 3, 2 1 1
43.85, 64, 2 2 0
51.93, 50, 3 1 1
54.42, 23, 2 2 2
63.75, 11, 4 0 0

Structure:
```
Ac3PuRh
1.0
5.840 0.000 0.000
0.000 5.840 0.000
0.000 0.000 5.840
Ac Pu Rh
3 1 1
Direct
0.000 0.000 0.500
0.000 0.500 0.000
0.500 0.000 0.000
0.500 0.500 0.500
0.000 0.000 0.000
```